For Cs2Nd4Se3O2, a GGA-PBE-relaxed structure gives the theoretical X-ray powder pattern in this record (a wavelength of 1.5418 Å).
Neutral-atom scattering factors, no anomalous dispersion.

Main lines, sorted by position (2θ from 15° to 90°):
- hkl 1 1 2, 2θ = 27.00°, 3.302 Å, intensity 72
- hkl 1 0 7, 2θ = 29.63°, 3.015 Å, intensity 43
- hkl 1 1 6, 2θ = 32.96°, 2.718 Å, intensity 100
- hkl 2 0 0, 2θ = 37.35°, 2.408 Å, intensity 71
- hkl 2 1 7, 2θ = 48.39°, 1.881 Å, intensity 29
- hkl 3 1 6, 2θ = 64.59°, 1.443 Å, intensity 29

Crystal structure
Lattice parameters (Å, degrees): 4.816 4.816 27.060 90.00 90.00 90.00
Space group I4/mmm (No. 139)
Asymmetric unit:
Cs (0.000, 0.000, 0.196)
Nd (0.000, 0.500, 0.071)
Se (0.000, 0.000, 0.354)
Se (0.000, 0.000, 0.500)
O (0.000, 0.000, 0.087)

For CsNdSi2O6, a GGA-PBE-relaxed structure gives the theoretical X-ray powder pattern in this record (a wavelength of 1.5418 Å).
Neutral-atom scattering factors, no anomalous dispersion.

Main lines, sorted by position (2θ from 15° to 90°):
- hkl 2 0 0, 2θ = 16.84°, 5.266 Å, intensity 56
- hkl 0 2 1, 2θ = 23.55°, 3.777 Å, intensity 43
- hkl 2 2 -1, 2θ = 27.35°, 3.261 Å, intensity 100
- hkl 2 2 1, 2θ = 30.75°, 2.908 Å, intensity 65
- hkl 0 0 2, 2θ = 32.68°, 2.740 Å, intensity 37
- hkl 4 0 0, 2θ = 34.09°, 2.630 Å, intensity 32

Crystal structure
Lattice parameters (Å, degrees): 10.696 10.426 5.565 90.00 100.06 90.00
Space group C2/c (No. 15)
Asymmetric unit:
Cs (0.000, 0.176, 0.250)
Nd (0.000, 0.377, 0.750)
Si (0.226, 0.078, 0.805)
O (0.119, 0.434, 0.139)
O (0.155, 0.215, 0.763)
O (0.178, 0.006, 0.044)

For Cs2TbNdO4, a GGA-PBE-relaxed structure gives the theoretical X-ray powder pattern in this record (a wavelength of 1.5418 Å).
Neutral-atom scattering factors, no anomalous dispersion.

Main lines, sorted by position (2θ from 15° to 90°):
- hkl 0 2 2, 2θ = 28.56°, 3.126 Å, intensity 67
- hkl 2 0 2, 2θ = 28.97°, 3.083 Å, intensity 64
- hkl 2 2 0, 2θ = 33.33°, 2.688 Å, intensity 100
- hkl 2 2 4, 2θ = 47.86°, 1.901 Å, intensity 45
- hkl 2 4 2, 2θ = 56.44°, 1.630 Å, intensity 22
- hkl 4 2 2, 2θ = 57.14°, 1.612 Å, intensity 21

Crystal structure
Lattice parameters (Å, degrees): 7.526 7.684 10.749 90.00 90.00 90.00
Space group Imma (No. 74)
Asymmetric unit:
Cs (0.000, 0.000, 0.000)
Cs (0.250, 0.250, 0.250)
Tb (0.250, 0.250, 0.750)
Nd (0.000, 0.000, 0.500)
O (0.000, 0.055, 0.728)
O (0.202, 0.250, 0.529)

Which formula does entry 2 have?
CsNdSi2O6